No. 1
Simulated X-ray diffraction stick pattern of PmCd2Hg4 for copper Kα, from a crystal structure in Alexandria, relaxed with GGA-PBE.
No peak broadening, texture or thermal motion is included.

Crystal structure
a b c (Å): 8.7249 8.7249 8.7249
angles (deg): 33.50 33.50 33.50
Fractional positions:
Pm (0.0000, 0.0000, 0.0000)
Cd (0.2537, 0.2537, 0.2537)
Cd (0.7463, 0.7463, 0.7463)
Hg (0.1337, 0.1337, 0.1337)
Hg (0.3886, 0.3886, 0.3886)
Hg (0.6114, 0.6114, 0.6114)
Hg (0.8663, 0.8663, 0.8663)

Principal peaks in the range 2θ = 5–70°, most intense first:
- d = 2.516 Å, I 100
- d = 1.453 Å, I 20
- d = 1.779 Å, I 16
- d = 3.558 Å, I 15
- d = 2.741 Å, I 12
- d = 1.452 Å, I 10
- d = 1.377 Å, I 9
- d = 3.266 Å, I 7
- d = 1.853 Å, I 5
- d = 1.591 Å, I 4

---

No. 2
Simulated X-ray diffraction stick pattern of Li4CeNp3S8 for copper Kα, from a crystal structure in Alexandria, relaxed with GGA-PBE.
No peak broadening, texture or thermal motion is included.

Crystal structure
a b c (Å): 7.6637 7.6637 7.6637
angles (deg): 62.12 62.12 62.12
Fractional positions:
Li (0.0000, 0.0000, 0.0000)
Li (0.0000, 0.5000, 0.5000)
Li (0.5000, 0.0000, 0.5000)
Li (0.5000, 0.5000, 0.0000)
Ce (0.5000, 0.5000, 0.5000)
Np (0.0000, 0.0000, 0.5000)
Np (0.0000, 0.5000, 0.0000)
Np (0.5000, 0.0000, 0.0000)
S (0.2458, 0.2458, 0.7534)
S (0.2458, 0.7534, 0.2458)
S (0.2466, 0.7542, 0.7542)
S (0.2496, 0.2496, 0.2496)
S (0.7504, 0.7504, 0.7504)
S (0.7534, 0.2458, 0.2458)
S (0.7542, 0.2466, 0.7542)
S (0.7542, 0.7542, 0.2466)

Principal peaks in the range 2θ = 5–70°, most intense first:
- d = 6.155 Å, I 100
- d = 2.750 Å, I 85
- d = 3.367 Å, I 75
- d = 2.511 Å, I 36
- d = 3.211 Å, I 34
- d = 1.977 Å, I 32
- d = 1.882 Å, I 30
- d = 1.914 Å, I 29
- d = 2.090 Å, I 20
- d = 1.605 Å, I 17

---

No. 3
Simulated X-ray diffraction stick pattern of Be5SiRh6 for copper Kα, from a crystal structure in Alexandria, relaxed with GGA-PBE.
No peak broadening, texture or thermal motion is included.

Crystal structure
a b c (Å): 3.9740 5.6348 6.2829
angles (deg): 90.00 108.36 90.00
Fractional positions:
Be (0.0000, 0.0000, 0.0000)
Be (0.3284, 0.5000, 0.6576)
Be (0.3346, 0.0000, 0.6705)
Be (0.6654, 0.0000, 0.3295)
Be (0.6716, 0.5000, 0.3424)
Si (0.0000, 0.5000, 0.0000)
Rh (0.1676, 0.2479, 0.3349)
Rh (0.1676, 0.7521, 0.3349)
Rh (0.5000, 0.2478, 0.0000)
Rh (0.5000, 0.7522, 0.0000)
Rh (0.8324, 0.2479, 0.6651)
Rh (0.8324, 0.7521, 0.6651)

Principal peaks in the range 2θ = 5–70°, most intense first:
- d = 1.989 Å, I 100
- d = 2.815 Å, I 64
- d = 2.809 Å, I 32
- d = 1.624 Å, I 24
- d = 1.405 Å, I 11
- d = 1.409 Å, I 5

---

No. 4
Simulated X-ray diffraction stick pattern of Hf2CCl2 for copper Kα, from a crystal structure in Alexandria, relaxed with GGA-PBE.
No peak broadening, texture or thermal motion is included.

Crystal structure
a b c (Å): 10.0634 10.0634 10.0634
angles (deg): 19.46 19.46 19.46
Fractional positions:
Hf (0.1272, 0.1272, 0.1272)
Hf (0.8728, 0.8728, 0.8728)
C (0.5000, 0.5000, 0.5000)
Cl (0.2665, 0.2665, 0.2665)
Cl (0.7335, 0.7335, 0.7335)

Principal peaks in the range 2θ = 5–70°, most intense first:
- d = 9.870 Å, I 100
- d = 2.305 Å, I 26
- d = 2.737 Å, I 19
- d = 2.637 Å, I 17
- d = 2.417 Å, I 17
- d = 2.931 Å, I 15
- d = 1.700 Å, I 11
- d = 1.676 Å, I 7
- d = 1.400 Å, I 7
- d = 2.467 Å, I 6

---

No. 5
Simulated X-ray diffraction stick pattern of Ho3IrBr3 for copper Kα, from a crystal structure in Alexandria, relaxed with GGA-PBE.
No peak broadening, texture or thermal motion is included.

Crystal structure
a b c (Å): 8.5297 4.1278 11.8208
angles (deg): 90.00 91.17 90.00
Fractional positions:
Ho (0.0975, 0.2500, 0.3242)
Ho (0.1514, 0.2500, 0.8613)
Ho (0.2625, 0.7500, 0.0974)
Ho (0.7375, 0.2500, 0.9026)
Ho (0.8486, 0.7500, 0.1387)
Ho (0.9025, 0.7500, 0.6758)
Ir (0.0504, 0.2500, 0.0954)
Ir (0.9496, 0.7500, 0.9046)
Br (0.1307, 0.2500, 0.5997)
Br (0.3334, 0.7500, 0.3540)
Br (0.4354, 0.7500, 0.8699)
Br (0.5646, 0.2500, 0.1301)
Br (0.6666, 0.2500, 0.6460)
Br (0.8693, 0.7500, 0.4003)

Principal peaks in the range 2θ = 5–70°, most intense first:
- d = 11.818 Å, I 100
- d = 8.528 Å, I 84
- d = 2.966 Å, I 57
- d = 2.107 Å, I 37
- d = 2.955 Å, I 30
- d = 2.867 Å, I 22
- d = 2.064 Å, I 20
- d = 2.341 Å, I 16
- d = 2.774 Å, I 16
- d = 6.983 Å, I 14